Diffraction record for PrTm6Se8. The powder diffraction line list is theoretical, not measured: it uses a structure optimized by DFT (PBE) and copper Kα.

Structure:
```
data_PrTm6Se8
_chemical_formula_sum 'Pr4 Tm24 Se32'
_symmetry_space_group_name_H-M 'F m -3 m'
_symmetry_Int_Tables_number 225
_symmetry_space_group_name_Hall '-F 4 2 3'
_cell_length_a 11.3667
_cell_length_b 11.3667
_cell_length_c 11.3667
_cell_angle_alpha 90.00
_cell_angle_beta 90.00
_cell_angle_gamma 90.00
loop_
_atom_site_label
_atom_site_fract_x
_atom_site_fract_y
_atom_site_fract_z
Pr1 0.0000 0.0000 0.0000
Tm1 0.0000 0.2500 0.2500
Se1 0.0000 0.0000 0.2636
Se2 0.2500 0.2500 0.2500
```

Largest 12 diffraction maxima, in order of falling intensity, 5 to 70 degrees two-theta:
| 2theta | d_spacing | I (rel.) |
| --- | --- | --- |
| 31.48 | 2.842 | 100 |
| 45.12 | 2.009 | 73 |
| 56.05 | 1.641 | 25 |
| 27.18 | 3.281 | 16 |
| 65.72 | 1.421 | 12 |
| 53.47 | 1.714 | 9 |
| 15.59 | 5.683 | 6 |
| 22.12 | 4.019 | 5 |
| 26.00 | 3.427 | 5 |
| 34.39 | 2.608 | 4 |
| 35.31 | 2.542 | 4 |
| 13.49 | 6.563 | 3 |

=====

Diffraction record for Pr3YTm2Se6. The powder diffraction line list is theoretical, not measured: it uses a structure optimized by DFT (PBE) and copper Kα.

Structure:
```
data_Pr3YTm2Se6
_chemical_formula_sum 'Pr6 Y2 Tm4 Se12'
_symmetry_space_group_name_H-M 'C 1 2/m 1'
_symmetry_Int_Tables_number 12
_cell_length_a 7.0723
_cell_length_b 12.2949
_cell_length_c 7.3874
_cell_angle_alpha 90.00
_cell_angle_beta 108.70
_cell_angle_gamma 90.00
loop_
_symmetry_equiv_pos_as_xyz
'x,y,z'
'-x,-y,-z'
'-x,y,-z'
'x,-y,z'
'x+1/2,y+1/2,z'
'-x+1/2,-y+1/2,-z'
'-x+1/2,y+1/2,-z'
'x+1/2,-y+1/2,z'
loop_
_atom_site_label
_atom_site_fract_x
_atom_site_fract_y
_atom_site_fract_z
Pr1 0.0000 0.0000 0.0000
Pr2 0.0000 0.3362 0.0000
Y1 0.0000 0.5000 0.5000
Tm1 0.0000 0.1664 0.5000
Se1 0.2380 0.0000 0.7274
Se2 0.2452 0.3310 0.7294
```

Largest 12 diffraction maxima, in order of falling intensity, 5 to 70 degrees two-theta:
| 2theta | d_spacing | I (rel.) |
| --- | --- | --- |
| 30.44 | 2.936 | 100 |
| 42.89 | 2.109 | 38 |
| 44.33 | 2.043 | 24 |
| 54.62 | 1.680 | 13 |
| 44.20 | 2.049 | 12 |
| 26.56 | 3.357 | 11 |
| 63.33 | 1.469 | 8 |
| 52.30 | 1.749 | 8 |
| 54.82 | 1.675 | 6 |
| 25.46 | 3.499 | 5 |
| 63.39 | 1.467 | 4 |
| 51.74 | 1.767 | 3 |

=====

Diffraction record for Pr2USe4. The powder diffraction line list is theoretical, not measured: it uses a structure optimized by DFT (PBE) and copper Kα.

Structure:
```
data_Pr2USe4
_chemical_formula_sum 'Pr8 U4 Se16'
_symmetry_space_group_name_H-M 'I -4 2 d'
_symmetry_Int_Tables_number 122
_symmetry_space_group_name_Hall 'I -4 2bw'
_cell_length_a 8.9191
_cell_length_b 8.9191
_cell_length_c 8.8793
_cell_angle_alpha 90.00
_cell_angle_beta 90.00
_cell_angle_gamma 90.00
loop_
_atom_site_label
_atom_site_fract_x
_atom_site_fract_y
_atom_site_fract_z
Pr1 0.1247 0.7500 0.1250
U1 0.0000 0.0000 0.5000
Se1 0.0749 0.6764 0.4552
```

Largest 12 diffraction maxima, in order of falling intensity, 5 to 70 degrees two-theta:
| 2theta | d_spacing | I (rel.) |
| --- | --- | --- |
| 31.73 | 2.820 | 100 |
| 37.77 | 2.382 | 82 |
| 24.48 | 3.636 | 64 |
| 31.86 | 2.809 | 56 |
| 64.43 | 1.446 | 34 |
| 47.91 | 1.899 | 30 |
| 45.50 | 1.994 | 28 |
| 37.85 | 2.377 | 27 |
| 52.35 | 1.748 | 24 |
| 64.64 | 1.442 | 18 |
| 45.65 | 1.987 | 17 |
| 68.31 | 1.373 | 15 |

=====

Diffraction record for Pr3U2Se6. The powder diffraction line list is theoretical, not measured: it uses a structure optimized by DFT (PBE) and copper Kα.

Structure:
```
data_Pr3U2Se6
_chemical_formula_sum 'Pr9 U6 Se18'
_symmetry_space_group_name_H-M 'R -3 m'
_symmetry_Int_Tables_number 166
_symmetry_space_group_name_Hall '-R 3 2"'
_cell_length_a 4.1641
_cell_length_b 4.1641
_cell_length_c 62.4447
_cell_angle_alpha 90.00
_cell_angle_beta 90.00
_cell_angle_gamma 120.00
loop_
_atom_site_label
_atom_site_fract_x
_atom_site_fract_y
_atom_site_fract_z
Pr1 0.0000 0.0000 0.0000
Pr2 0.0000 0.0000 0.2755
U1 0.0000 0.0000 0.4467
Se1 0.0000 0.0000 0.0867
Se2 0.0000 0.0000 0.1959
Se3 0.0000 0.0000 0.3621
```

Largest 12 diffraction maxima, in order of falling intensity, 5 to 70 degrees two-theta:
| 2theta | d_spacing | I (rel.) |
| --- | --- | --- |
| 29.34 | 3.044 | 100 |
| 43.46 | 2.082 | 44 |
| 40.44 | 2.230 | 21 |
| 44.10 | 2.053 | 20 |
| 53.31 | 1.719 | 19 |
| 8.50 | 10.407 | 19 |
| 12.76 | 6.938 | 18 |
| 31.91 | 2.804 | 13 |
| 34.86 | 2.573 | 11 |
| 26.66 | 3.343 | 9 |
| 52.78 | 1.734 | 7 |
| 25.35 | 3.514 | 7 |

=====

Diffraction record for PrU3Se8. The powder diffraction line list is theoretical, not measured: it uses a structure optimized by DFT (PBE) and copper Kα.

Structure:
```
data_PrU3Se8
_chemical_formula_sum 'Pr2 U6 Se16'
_symmetry_space_group_name_H-M 'P 63 m c'
_symmetry_Int_Tables_number 186
_symmetry_space_group_name_Hall 'P 6c -2c'
_cell_length_a 8.3583
_cell_length_b 8.3583
_cell_length_c 13.0953
_cell_angle_alpha 90.00
_cell_angle_beta 90.00
_cell_angle_gamma 120.00
loop_
_atom_site_label
_atom_site_fract_x
_atom_site_fract_y
_atom_site_fract_z
Pr1 0.3333 0.6667 0.0000
U1 0.1677 0.3355 0.7286
Se1 0.0000 0.0000 0.3404
Se2 0.0223 0.5112 0.8474
Se3 0.1550 0.3100 0.1116
Se4 0.3333 0.6667 0.6128
```

Largest 12 diffraction maxima, in order of falling intensity, 5 to 70 degrees two-theta:
| 2theta | d_spacing | I (rel.) |
| --- | --- | --- |
| 32.13 | 2.786 | 100 |
| 13.52 | 6.548 | 77 |
| 43.30 | 2.090 | 77 |
| 13.98 | 6.335 | 71 |
| 28.17 | 3.168 | 71 |
| 42.61 | 2.122 | 67 |
| 25.53 | 3.488 | 48 |
| 25.28 | 3.523 | 39 |
| 37.03 | 2.428 | 35 |
| 45.57 | 1.991 | 24 |
| 18.27 | 4.856 | 22 |
| 23.80 | 3.738 | 22 |

=====

Diffraction record for Pr2VSe5. The powder diffraction line list is theoretical, not measured: it uses a structure optimized by DFT (PBE) and copper Kα.

Structure:
```
data_Pr2VSe5
_chemical_formula_sum 'Pr4 V2 Se10'
_symmetry_space_group_name_H-M 'C 1 m 1'
_symmetry_Int_Tables_number 8
_cell_length_a 8.4716
_cell_length_b 9.6527
_cell_length_c 6.0963
_cell_angle_alpha 90.00
_cell_angle_beta 120.59
_cell_angle_gamma 90.00
loop_
_symmetry_equiv_pos_as_xyz
'x,y,z'
'x,-y,z'
'x+1/2,y+1/2,z'
'x+1/2,-y+1/2,z'
loop_
_atom_site_label
_atom_site_fract_x
_atom_site_fract_y
_atom_site_fract_z
Pr1 0.0000 0.2461 0.0000
V1 0.3614 0.0000 0.4145
Se1 0.0725 0.0000 0.3445
Se2 0.1691 0.5000 0.8369
Se3 0.2763 0.0000 0.9681
Se4 0.3857 0.2571 0.4351
```

Largest 12 diffraction maxima, in order of falling intensity, 5 to 70 degrees two-theta:
| 2theta | d_spacing | I (rel.) |
| --- | --- | --- |
| 35.57 | 2.524 | 100 |
| 28.40 | 3.142 | 96 |
| 30.73 | 2.909 | 93 |
| 37.26 | 2.413 | 77 |
| 34.17 | 2.624 | 54 |
| 41.14 | 2.194 | 51 |
| 43.47 | 2.082 | 39 |
| 39.07 | 2.305 | 36 |
| 16.89 | 5.248 | 34 |
| 51.45 | 1.776 | 33 |
| 30.19 | 2.961 | 32 |
| 58.56 | 1.576 | 30 |

=====

Diffraction record for PrYSe3. The powder diffraction line list is theoretical, not measured: it uses a structure optimized by DFT (PBE) and copper Kα.

Structure:
```
data_PrYSe3
_chemical_formula_sum 'Pr2 Y2 Se6'
_symmetry_space_group_name_H-M 'P 1 21/m 1'
_symmetry_Int_Tables_number 11
_cell_length_a 8.1989
_cell_length_b 4.1459
_cell_length_c 8.3204
_cell_angle_alpha 90.00
_cell_angle_beta 94.82
_cell_angle_gamma 90.00
loop_
_symmetry_equiv_pos_as_xyz
'x,y,z'
'-x,-y,-z'
'-x,y+1/2,-z'
'x,-y+1/2,z'
loop_
_atom_site_label
_atom_site_fract_x
_atom_site_fract_y
_atom_site_fract_z
Pr1 0.1213 0.2500 0.2712
Y1 0.3538 0.7500 0.8257
Se1 0.1249 0.2500 0.8896
Se2 0.1848 0.7500 0.5252
Se3 0.4000 0.7500 0.1801
```

Largest 12 diffraction maxima, in order of falling intensity, 5 to 70 degrees two-theta:
| 2theta | d_spacing | I (rel.) |
| --- | --- | --- |
| 30.73 | 2.910 | 100 |
| 39.98 | 2.255 | 49 |
| 38.86 | 2.317 | 44 |
| 31.98 | 2.798 | 40 |
| 43.67 | 2.073 | 40 |
| 36.66 | 2.452 | 37 |
| 10.83 | 8.170 | 26 |
| 21.43 | 4.145 | 26 |
| 35.14 | 2.554 | 25 |
| 24.01 | 3.707 | 24 |
| 44.35 | 2.042 | 23 |
| 26.77 | 3.330 | 22 |

=====

Diffraction record for PrYSe2. The powder diffraction line list is theoretical, not measured: it uses a structure optimized by DFT (PBE) and copper Kα.

Structure:
```
data_PrYSe2
_chemical_formula_sum 'Pr2 Y2 Se4'
_symmetry_space_group_name_H-M 'P 63/m m c'
_symmetry_Int_Tables_number 194
_symmetry_space_group_name_Hall '-P 6c 2c'
_cell_length_a 4.1078
_cell_length_b 4.1078
_cell_length_c 14.1404
_cell_angle_alpha 90.00
_cell_angle_beta 90.00
_cell_angle_gamma 120.00
loop_
_atom_site_label
_atom_site_fract_x
_atom_site_fract_y
_atom_site_fract_z
Pr1 0.3333 0.6667 0.2500
Y1 0.0000 0.0000 0.0000
Se1 0.3333 0.6667 0.6163
```

Largest 12 diffraction maxima, in order of falling intensity, 5 to 70 degrees two-theta:
| 2theta | d_spacing | I (rel.) |
| --- | --- | --- |
| 31.51 | 2.839 | 100 |
| 28.08 | 3.178 | 57 |
| 44.09 | 2.054 | 54 |
| 40.76 | 2.214 | 32 |
| 46.21 | 1.965 | 22 |
| 55.19 | 1.664 | 20 |
| 35.81 | 2.508 | 12 |
| 51.72 | 1.767 | 11 |
| 53.09 | 1.725 | 9 |
| 61.60 | 1.506 | 9 |
| 65.78 | 1.420 | 7 |
| 25.03 | 3.557 | 6 |